# AcCdH6Pd4
Computed powder XRD pattern, a wavelength of 1.5418 Å. Input: a cell relaxed with PBE.
Kinematic intensities with the Lorentz-polarization factor, no thermal factor.

Peak list (10 most intense, 5 to 70 degrees two-theta, sorted by position)
2θ/deg	Rel. int.
24.58	28
32.95	100
37.01	87
37.89	11
50.38	30
54.01	25
56.08	9
64.14	29
64.93	8
66.70	15

Atomic structure:
Lattice parameters (Å, degrees): 4.8575 4.8575 7.1231 90.00 90.00 120.00
Space group P6/mmm (No. 191)
Inequivalent atoms, fractional coordinates:
Ac  0.0000  0.0000  0.0000 x1
Cd  0.0000  0.0000  0.5000 x1
H  0.0000  0.5000  0.1614 x6
Pd  0.3333  0.6667  0.3087 x4

=====

# AcCd2Hg10
Computed powder XRD pattern, a wavelength of 1.5418 Å. Input: a cell relaxed with PBE.
Kinematic intensities with the Lorentz-polarization factor, no thermal factor.

Peak list (10 most intense, 5 to 70 degrees two-theta, sorted by position)
2θ/deg	Rel. int.
27.62	40
29.66	71
32.81	100
34.40	81
34.75	72
35.15	76
37.25	48
37.46	53
53.33	24
61.59	45

Atomic structure:
Lattice parameters (Å, degrees): 6.4598 14.3524 14.5349 90.00 90.00 90.00
Space group Fmmm (No. 69)
Inequivalent atoms, fractional coordinates:
Ac  0.0000  0.0000  0.0000 x4
Cd  0.2500  0.0000  0.2500 x8
Hg  0.0000  0.1060  0.3930 x16
Hg  0.0000  0.1722  0.1766 x16
Hg  0.2500  0.2500  0.0000 x8